Simulated X-ray diffraction stick pattern of ZnCoTe3O8 for a wavelength of 1.5418 Å, from a GGA+U-relaxed structure.

Largest 10 diffraction maxima, in order of rising 2θ, 2θ = 15–90°:
d [Å]	Rel. int.
4.885	55
4.611	21
4.000	39
3.288	90
2.995	30
2.965	100
2.837	38
2.421	18
2.189	37
1.615	19

Unit cell a=6.947 b=6.947 c=11.873 alpha=98.43 beta=98.43 gamma=44.79
Element x y z (fractional)
1 Zn 0.229 0.229 0.094
2 Zn 0.771 0.771 0.906
3 Co 0.184 0.358 0.401
4 Co 0.642 0.816 0.599
5 Te 0.062 0.938 0.500
6 Te 0.152 0.122 0.801
7 Te 0.266 0.459 0.693
8 Te 0.344 0.656 0.000
9 Te 0.541 0.734 0.307
10 Te 0.878 0.848 0.199
11 O 0.036 0.363 0.936
12 O 0.041 0.798 0.894
13 O 0.202 0.959 0.106
14 O 0.203 0.636 0.394
15 O 0.205 0.025 0.391
16 O 0.209 0.563 0.111
17 O 0.364 0.797 0.606
18 O 0.393 0.220 0.558
19 O 0.437 0.791 0.889
20 O 0.466 0.060 0.779
21 O 0.495 0.038 0.288
22 O 0.637 0.964 0.064
23 O 0.780 0.607 0.442
24 O 0.940 0.534 0.221
25 O 0.962 0.505 0.712
26 O 0.975 0.795 0.609